Simulated X-ray diffraction stick pattern
Compound: Na2Ag4Sn
Radiation: copper Kα
Structure: a DFT-relaxed cell (GGA-PBE, Alexandria)
Lines closer than 0.1° are merged.

Atomic structure:
```
Na2Ag4Sn
1.0
0.000 5.267 2.708
5.230 0.000 2.708
5.230 5.267 0.000
Na Ag Sn
2 4 1
direct
0.000 0.000 0.500
0.500 0.500 0.000
0.053 0.447 0.553
0.055 0.445 0.945
0.445 0.055 0.555
0.447 0.053 0.947
0.753 0.753 0.247
```

Top 6 peaks for 2θ from 15° to 90°, by angle:
- 31.5°, 2.836 Å, I 42
- 31.7°, 2.825 Å, I 44
- 33.1°, 2.708 Å, I 46
- 34.0°, 2.634 Å, I 31
- 34.3°, 2.615 Å, I 29
- 40.1°, 2.251 Å, I 100

***

Simulated X-ray diffraction stick pattern
Compound: Na6Ag2Sn
Radiation: copper Kα
Structure: a DFT-relaxed cell (GGA-PBE, Alexandria)
Lines closer than 0.1° are merged.

Atomic structure:
```
Na6Ag2Sn
1.0
6.142 0.000 0.000
0.000 10.909 0.000
-0.731 0.000 7.671
Na Ag Sn
12 4 2
direct
0.010 0.151 0.437
0.010 0.349 0.937
0.195 0.560 0.641
0.195 0.940 0.141
0.474 0.201 0.149
0.474 0.299 0.649
0.526 0.701 0.351
0.526 0.799 0.851
0.805 0.060 0.859
0.805 0.440 0.359
0.990 0.651 0.063
0.990 0.849 0.563
0.285 0.063 0.796
0.285 0.437 0.296
0.715 0.563 0.704
0.715 0.937 0.204
0.500 0.000 0.500
0.500 0.500 0.000
```

Top 6 peaks for 2θ from 15° to 90°, by angle:
- 16.3°, 5.454 Å, I 100
- 21.1°, 4.219 Å, I 95
- 31.4°, 2.846 Å, I 40
- 33.6°, 2.668 Å, I 57
- 34.9°, 2.570 Å, I 41
- 36.1°, 2.490 Å, I 63